1.
For Pr3Dy4Ir4, a structure optimized by DFT (GGA-PBE) gives the computed X-ray powder pattern in this record (λ = 1.5418 Å (Cu Kα)).
Peak positions follow from Bragg's law for the DFT cell and can differ from measured ones.

```
11
Lattice="-2.008 4.341 7.995 2.008 -4.341 7.995 2.008 4.341 -7.995" Properties=species:S:1:pos:R:3 pbc="T T T"
Pr 0.000 0.000 0.000
Pr 2.008 0.000 6.373
Pr 0.000 4.341 1.622
Dy 2.008 1.665 -2.697
Dy 2.008 1.665 2.697
Dy 0.000 2.676 5.298
Dy 0.000 2.676 10.692
Ir 0.000 0.000 3.849
Ir 2.008 2.448 0.000
Ir 0.000 1.893 7.995
Ir 0.000 0.000 12.140
```

Top 8 peaks for 5 to 70 degrees two-theta, by angle:
- 30.8°, d 2.899, rel. 100
- 33.3°, d 2.693, rel. 74
- 35.3°, d 2.543, rel. 34
- 39.7°, d 2.271, rel. 42
- 40.0°, d 2.253, rel. 36
- 41.6°, d 2.169, rel. 31
- 45.2°, d 2.008, rel. 31
- 62.8°, d 1.480, rel. 26

=====

2.
For Pm5Pr4Ni2, a structure optimized by DFT (GGA-PBE) gives the computed X-ray powder pattern in this record (λ = 1.5418 Å (Cu Kα)).
Peak positions follow from Bragg's law for the DFT cell and can differ from measured ones.

```
11
Lattice="8.975 0.000 0.000 0.000 3.680 0.000 -1.251 0.000 10.284" Properties=species:S:1:pos:R:3 pbc="T T T"
Pm 0.000 0.000 0.000
Pm -0.192 0.000 3.392
Pm 2.030 0.000 8.859
Pm 5.693 0.000 1.425
Pm 7.916 0.000 6.892
Pr 2.062 1.840 5.640
Pr 2.651 1.840 1.880
Pr 5.073 1.840 8.405
Pr 5.662 1.840 4.644
Ni 3.504 0.000 3.890
Ni 4.220 0.000 6.394
```

Top 8 peaks for 5 to 70 degrees two-theta, by angle:
- 29.0°, d 3.077, rel. 59
- 30.1°, d 2.970, rel. 65
- 30.9°, d 2.894, rel. 100
- 31.5°, d 2.837, rel. 57
- 32.2°, d 2.778, rel. 37
- 34.9°, d 2.570, rel. 41
- 35.8°, d 2.508, rel. 31
- 49.6°, d 1.839, rel. 36

=====

3.
For KCuRhSe3, a structure optimized by DFT (GGA-PBE) gives the computed X-ray powder pattern in this record (λ = 1.5418 Å (Cu Kα)).
Peak positions follow from Bragg's law for the DFT cell and can differ from measured ones.

```
12
Lattice="8.338 0.000 0.000 0.000 3.871 0.000 -3.651 0.000 8.783" Properties=species:S:1:pos:R:3 pbc="T T T"
K 0.984 0.968 2.299
K 3.703 2.903 6.485
Cu -1.544 0.968 5.247
Cu 6.231 2.903 3.537
Rh -0.435 2.903 7.461
Rh 5.122 0.968 1.322
Se -2.088 0.968 7.584
Se -0.072 2.903 4.900
Se 3.488 2.903 1.161
Se 1.199 0.968 7.622
Se 4.759 0.968 3.884
Se 6.775 2.903 1.199
```

Top 8 peaks for 5 to 70 degrees two-theta, by angle:
- 12.0°, d 7.356, rel. 100
- 30.5°, d 2.928, rel. 15
- 31.6°, d 2.834, rel. 34
- 32.8°, d 2.730, rel. 21
- 40.1°, d 2.250, rel. 14
- 45.4°, d 1.997, rel. 19
- 46.9°, d 1.936, rel. 14
- 53.3°, d 1.719, rel. 12

=====

4.
For CsIn3I8, a structure optimized by DFT (GGA-PBE) gives the computed X-ray powder pattern in this record (λ = 1.5418 Å (Cu Kα)).
Peak positions follow from Bragg's law for the DFT cell and can differ from measured ones.

```
12
Lattice="8.775 0.000 0.000 -4.387 7.599 0.000 0.000 0.000 11.195" Properties=species:S:1:pos:R:3 pbc="T T T"
Cs 0.000 0.000 0.000
In 0.000 0.000 5.598
In 0.000 5.066 8.928
In 4.387 2.533 2.268
I 0.000 2.454 7.976
I -2.263 6.372 7.976
I 2.125 1.227 3.219
I 0.000 5.066 0.461
I 4.387 2.533 10.734
I 2.263 6.372 7.976
I 6.650 1.227 3.219
I 4.387 5.146 3.219
```

Top 8 peaks for 5 to 70 degrees two-theta, by angle:
- 14.1°, d 6.288, rel. 100
- 20.2°, d 4.387, rel. 35
- 21.8°, d 4.085, rel. 38
- 24.7°, d 3.598, rel. 46
- 25.8°, d 3.453, rel. 41
- 28.4°, d 3.144, rel. 55
- 40.0°, d 2.253, rel. 42
- 41.1°, d 2.194, rel. 52

=====

5.
For CaLa4, a structure optimized by DFT (GGA-PBE) gives the computed X-ray powder pattern in this record (λ = 1.5418 Å (Cu Kα)).
Peak positions follow from Bragg's law for the DFT cell and can differ from measured ones.

```
10
Lattice="9.508 0.000 0.000 0.000 6.091 0.000 -1.331 0.000 7.068" Properties=species:S:1:pos:R:3 pbc="T T T"
Ca 0.000 0.000 0.000
Ca -0.666 3.046 3.534
La 2.220 1.376 5.202
La 2.886 1.669 1.668
La 1.953 4.425 6.630
La 2.619 4.711 3.097
La 5.559 1.380 3.971
La 6.224 1.666 0.437
La 5.292 4.422 5.399
La 5.957 4.715 1.866
```

Top 8 peaks for 5 to 70 degrees two-theta, by angle:
- 9.5°, d 9.344, rel. 91
- 28.7°, d 3.115, rel. 50
- 29.2°, d 3.055, rel. 31
- 29.3°, d 3.046, rel. 28
- 30.9°, d 2.896, rel. 21
- 32.3°, d 2.773, rel. 100
- 41.5°, d 2.178, rel. 24
- 53.9°, d 1.701, rel. 19

=====

6.
For Pm2PrSmEr2, a structure optimized by DFT (GGA-PBE) gives the computed X-ray powder pattern in this record (λ = 1.5418 Å (Cu Kα)).
Peak positions follow from Bragg's law for the DFT cell and can differ from measured ones.

```
12
Lattice="6.578 0.000 0.000 0.000 18.238 0.000 0.000 0.000 3.421" Properties=species:S:1:pos:R:3 pbc="T T T"
Pm 1.436 3.449 0.000
Pm 1.853 12.568 1.710
Pm 4.725 5.671 1.710
Pm 5.142 14.790 0.000
Pr 0.000 0.000 0.000
Pr 3.289 9.119 1.710
Sm 0.000 9.119 0.000
Sm 3.289 0.000 1.710
Er 1.424 6.439 1.710
Er 1.865 15.558 0.000
Er 4.713 2.680 0.000
Er 5.154 11.799 1.710
```

Top 8 peaks for 5 to 70 degrees two-theta, by angle:
- 28.9°, d 3.094, rel. 98
- 29.4°, d 3.039, rel. 100
- 30.0°, d 2.981, rel. 94
- 31.1°, d 2.880, rel. 36
- 32.4°, d 2.759, rel. 42
- 33.6°, d 2.668, rel. 59
- 35.5°, d 2.526, rel. 44
- 40.9°, d 2.209, rel. 65

=====

7.
For Mg2Ti3CrS8, a structure optimized by DFT (GGA-PBE) gives the computed X-ray powder pattern in this record (λ = 1.5418 Å (Cu Kα)).
Peak positions follow from Bragg's law for the DFT cell and can differ from measured ones.

```
14
Lattice="3.617 2.088 6.089 -3.617 2.088 6.089 0.000 -4.176 6.089" Properties=species:S:1:pos:R:3 pbc="T T T"
Mg 0.000 0.000 2.299
Mg 0.000 0.000 15.969
Ti -1.808 -1.044 6.089
Ti -1.808 1.044 12.178
Ti 0.000 2.088 6.089
Cr 0.000 0.000 9.134
S 0.000 0.000 4.730
S 0.000 -1.895 7.569
S -1.641 0.948 7.569
S -1.641 -0.948 10.698
S 1.641 0.948 7.569
S 1.641 -0.948 10.698
S 0.000 1.895 10.698
S 0.000 0.000 13.537
```

Top 8 peaks for 5 to 70 degrees two-theta, by angle:
- 15.0°, d 5.926, rel. 49
- 28.3°, d 3.156, rel. 17
- 28.7°, d 3.110, rel. 36
- 28.9°, d 3.087, rel. 14
- 34.7°, d 2.583, rel. 100
- 45.7°, d 1.987, rel. 22
- 49.4°, d 1.845, rel. 51
- 50.5°, d 1.808, rel. 47

=====

8.
For Tb3Zn2Au6, a structure optimized by DFT (GGA-PBE) gives the computed X-ray powder pattern in this record (λ = 1.5418 Å (Cu Kα)).
Peak positions follow from Bragg's law for the DFT cell and can differ from measured ones.

```
11
Lattice="-2.158 2.158 12.572 2.158 -2.158 12.572 2.158 2.158 -12.572" Properties=species:S:1:pos:R:3 pbc="T T T"
Tb 0.000 0.000 0.000
Tb 0.000 0.000 4.994
Tb 0.000 0.000 20.149
Zn 0.000 0.000 11.386
Zn 0.000 0.000 13.757
Au 2.158 0.000 2.621
Au 0.000 0.000 7.923
Au 2.158 0.000 9.951
Au 0.000 2.158 2.621
Au 0.000 0.000 17.220
Au 0.000 2.158 9.951
```

Top 8 peaks for 5 to 70 degrees two-theta, by angle:
- 14.1°, d 6.286, rel. 32
- 32.6°, d 2.745, rel. 100
- 35.7°, d 2.514, rel. 38
- 36.4°, d 2.467, rel. 99
- 41.2°, d 2.189, rel. 58
- 41.9°, d 2.158, rel. 90
- 56.2°, d 1.638, rel. 42
- 60.7°, d 1.526, rel. 30

=====

9.
For K4Np3CrN8, a structure optimized by DFT (GGA-PBE) gives the computed X-ray powder pattern in this record (λ = 1.5418 Å (Cu Kα)).
Peak positions follow from Bragg's law for the DFT cell and can differ from measured ones.

```
16
Lattice="3.401 1.963 6.353 -3.401 1.963 6.353 0.000 -3.927 6.353" Properties=species:S:1:pos:R:3 pbc="T T T"
K 0.000 0.000 0.000
K -1.700 -0.982 6.353
K -1.700 0.982 12.706
K 0.000 1.963 6.353
Np -3.401 0.000 9.530
Np -1.700 0.982 3.177
Np 1.700 0.982 3.177
Cr 0.000 0.000 9.530
N -1.724 -0.995 10.548
N 0.000 0.000 4.215
N 0.000 -1.991 8.512
N -1.724 0.995 8.512
N 1.724 -0.995 10.548
N 0.000 1.991 10.548
N 0.000 0.000 14.845
N 1.724 0.995 8.512
```

Top 8 peaks for 5 to 70 degrees two-theta, by angle:
- 13.9°, d 6.353, rel. 100
- 28.1°, d 3.177, rel. 36
- 30.7°, d 2.910, rel. 36
- 31.8°, d 2.814, rel. 68
- 35.8°, d 2.505, rel. 75
- 49.2°, d 1.852, rel. 26
- 53.9°, d 1.700, rel. 23
- 61.9°, d 1.499, rel. 24

=====

10.
For Dy2PuHg4, a structure optimized by DFT (GGA-PBE) gives the computed X-ray powder pattern in this record (λ = 1.5418 Å (Cu Kα)).
Peak positions follow from Bragg's law for the DFT cell and can differ from measured ones.

```
7
Lattice="5.236 0.000 0.000 0.000 5.236 0.000 0.000 0.000 7.120" Properties=species:S:1:pos:R:3 pbc="T T T"
Dy 0.000 0.000 0.000
Dy 2.618 2.618 3.560
Pu 0.000 0.000 3.560
Hg 0.000 2.618 1.670
Hg 0.000 2.618 5.450
Hg 2.618 0.000 1.670
Hg 2.618 0.000 5.450
```

Top 8 peaks for 5 to 70 degrees two-theta, by angle:
- 16.9°, d 5.236, rel. 9
- 27.1°, d 3.285, rel. 10
- 34.2°, d 2.618, rel. 54
- 35.0°, d 2.566, rel. 100
- 49.2°, d 1.851, rel. 20
- 51.3°, d 1.780, rel. 8
- 61.8°, d 1.501, rel. 39
- 63.2°, d 1.472, rel. 17

=====

11.
For Tb2DyEr3S6, a structure optimized by DFT (GGA-PBE) gives the computed X-ray powder pattern in this record (λ = 1.5418 Å (Cu Kα)).
Peak positions follow from Bragg's law for the DFT cell and can differ from measured ones.

```
12
Lattice="8.477 -1.940 0.000 8.477 1.940 0.000 -1.838 0.000 7.597" Properties=species:S:1:pos:R:3 pbc="T T T"
Tb 2.216 0.000 2.536
Tb 12.900 0.000 5.061
Dy 8.477 0.000 0.000
Er 1.301 0.000 6.329
Er 7.558 0.000 3.799
Er 13.815 0.000 1.268
S -1.350 0.000 5.683
S 3.948 0.000 6.994
S 4.916 0.000 3.139
S 10.200 0.000 4.458
S 11.168 0.000 0.603
S 16.466 0.000 1.914
```

Top 8 peaks for 5 to 70 degrees two-theta, by angle:
- 28.0°, d 3.191, rel. 21
- 28.1°, d 3.172, rel. 62
- 32.5°, d 2.751, rel. 100
- 46.5°, d 1.954, rel. 12
- 46.6°, d 1.948, rel. 24
- 46.8°, d 1.941, rel. 36
- 55.5°, d 1.657, rel. 20
- 58.2°, d 1.585, rel. 12

=====

12.
For LiBeMoIr, a structure optimized by DFT (GGA-PBE) gives the computed X-ray powder pattern in this record (λ = 1.5418 Å (Cu Kα)).
Peak positions follow from Bragg's law for the DFT cell and can differ from measured ones.

```
16
Lattice="5.889 0.000 0.000 0.000 5.889 0.000 0.000 0.000 5.889" Properties=species:S:1:pos:R:3 pbc="T T T"
Li 0.000 0.000 0.000
Li 0.000 2.944 2.944
Li 2.944 0.000 2.944
Li 2.944 2.944 0.000
Be 1.472 1.472 1.472
Be 1.472 4.417 4.417
Be 4.417 1.472 4.417
Be 4.417 4.417 1.472
Mo 1.472 1.472 4.417
Mo 1.472 4.417 1.472
Mo 4.417 1.472 1.472
Mo 4.417 4.417 4.417
Ir 0.000 0.000 2.944
Ir 0.000 2.944 0.000
Ir 2.944 0.000 0.000
Ir 2.944 2.944 2.944
```

Top 7 peaks for 5 to 70 degrees two-theta, by angle:
- 26.2°, d 3.400, rel. 100
- 30.4°, d 2.944, rel. 10
- 43.5°, d 2.082, rel. 82
- 51.5°, d 1.776, rel. 48
- 53.9°, d 1.700, rel. 3
- 63.2°, d 1.472, rel. 13
- 69.6°, d 1.351, rel. 20

=====

13.
For Na2Cd3Au4, a structure optimized by DFT (GGA-PBE) gives the computed X-ray powder pattern in this record (λ = 1.5418 Å (Cu Kα)).
Peak positions follow from Bragg's law for the DFT cell and can differ from measured ones.

```
18
Lattice="7.544 0.000 0.000 0.000 7.519 0.000 -2.481 0.000 7.092" Properties=species:S:1:pos:R:3 pbc="T T T"
Na 1.241 1.263 0.373
Na 0.000 2.497 3.919
Na 5.063 5.022 3.173
Na 3.822 6.256 6.719
Cd 1.225 4.961 1.784
Cd -0.015 6.317 5.330
Cd 2.532 0.000 3.546
Cd 3.772 3.759 0.000
Cd 5.078 1.202 1.762
Cd 3.838 2.558 5.308
Au -1.479 4.072 6.104
Au -0.238 7.206 2.558
Au 1.622 1.006 6.130
Au 2.863 2.753 2.584
Au 2.200 4.766 4.508
Au 3.441 6.513 0.962
Au 5.301 0.312 4.534
Au 6.542 3.447 0.988
```

Top 8 peaks for 5 to 70 degrees two-theta, by angle:
- 17.2°, d 5.166, rel. 36
- 23.6°, d 3.766, rel. 31
- 26.8°, d 3.324, rel. 27
- 31.5°, d 2.844, rel. 22
- 33.9°, d 2.643, rel. 100
- 37.9°, d 2.376, rel. 74
- 38.1°, d 2.364, rel. 32
- 48.5°, d 1.875, rel. 21